La5Cr3: computed powder diffraction line list (Cu Kα X-rays), based on a GGA-PBE-relaxed structure.
Neutral-atom scattering factors, no anomalous dispersion.

The 12 most intense peaks (5 to 70 degrees two-theta), in order of falling intensity:
| hkl | d [Å] | intensity |
| --- | --- | --- |
| 1 2 1 | 2.693 | 1000 |
| 1 2 -2 | 2.679 | 842 |
| 1 2 -1 | 3.067 | 532 |
| 2 1 1 | 2.735 | 511 |
| 1 1 -3 | 2.708 | 506 |
| 3 0 0 | 2.632 | 401 |
| 4 2 0 | 1.698 | 317 |
| 2 0 1 | 2.999 | 253 |
| 4 2 -2 | 1.867 | 236 |
| 2 0 -3 | 2.942 | 222 |
| 5 2 -5 | 1.408 | 219 |
| 3 0 -1 | 2.963 | 213 |

Structural model:
Unit cell a=9.0121 b=6.6631 c=9.0260 alpha=90.00 beta=118.88 gamma=90.00
Positions (direct):
La (0.0000, 0.0000, 0.0000)
La (0.0034, 0.5000, 0.2421)
La (0.0975, 0.2483, 0.6657)
La (0.0975, 0.7517, 0.6657)
La (0.4265, 0.2505, 0.3305)
La (0.4265, 0.7495, 0.3305)
La (0.5082, 0.5000, 0.9916)
La (0.5158, 0.0000, 0.7547)
La (0.7580, 0.5000, 0.7589)
La (0.7690, 0.0000, 0.2500)
Cr (0.1612, 0.5000, 0.9975)
Cr (0.1635, 0.0000, 0.4022)
Cr (0.3530, 0.0000, 0.9935)
Cr (0.3552, 0.5000, 0.5948)
Cr (0.7598, 0.0000, 0.5964)
Cr (0.7675, 0.5000, 0.4075)